No. 1
Starting from a GGA-PBE-relaxed structure, the powder XRD pattern of CdIn5Hg2Pb was calculated for λ = 1.5418 Å (Cu Kα).

Atomic structure:
```
CdIn5Hg2Pb
1.0
2.2788 -9.2635 0.0000
2.2788 9.2635 0.0000
0.0000 0.0000 11.7042
Cd In Hg Pb
2 10 4 2
direct
0.1462 0.8538 0.5000
0.8538 0.1462 0.0000
0.0031 0.9969 0.1209
0.2378 0.7622 0.7338
0.2426 0.7574 0.0071
0.3839 0.6161 0.5549
0.3906 0.6094 0.1860
0.6094 0.3906 0.6860
0.6161 0.3839 0.0549
0.7574 0.2426 0.5071
0.7622 0.2378 0.2338
0.9969 0.0031 0.6209
0.0894 0.9106 0.8724
0.1519 0.8481 0.2489
0.8481 0.1519 0.7489
0.9106 0.0894 0.3724
0.4572 0.5428 0.8709
0.5428 0.4572 0.3709
```

Peak list (12 most intense, 2θ = 5–70°, by intensity)
2θ (°)  I (rel.)
32.06  100
33.54  82
39.55  35
34.77  30
39.69  30
28.73  27
57.27  21
51.80  19
64.51  16
67.37  15
30.55  14
69.07  13


No. 2
Starting from a GGA-PBE-relaxed structure, the powder XRD pattern of CsNa2TeBr was calculated for λ = 1.5418 Å (Cu Kα).

Atomic structure:
```
CsNa2TeBr
1.0
-2.5229 2.5229 7.9551
2.5229 -2.5229 7.9551
2.5229 2.5229 -7.9551
Cs Na Te Br
1 2 1 1
direct
0.0000 0.0000 0.0000
0.2235 0.7235 0.5000
0.7235 0.2235 0.5000
0.6158 0.6158 0.0000
0.3237 0.3237 0.0000
```

Peak list (12 most intense, 2θ = 5–70°, by intensity)
2θ (°)  I (rel.)
24.35  100
43.61  51
24.96  41
35.58  29
42.47  19
57.52  18
27.40  17
33.29  15
33.76  13
69.47  13
11.12  12
51.21  10


No. 3
Starting from a GGA-PBE-relaxed structure, the powder XRD pattern of K3DyBr6 was calculated for λ = 1.5418 Å (Cu Kα).

Atomic structure:
```
K3DyBr6
1.0
7.8918 0.0000 0.0000
0.0000 8.4146 0.0000
-7.6499 0.0000 11.3173
K Dy Br
6 2 12
direct
0.0000 0.0000 0.0000
0.0000 0.5000 0.5000
0.2109 0.0794 0.7426
0.2109 0.4206 0.2426
0.7891 0.5794 0.7574
0.7891 0.9206 0.2574
0.5000 0.0000 0.5000
0.5000 0.5000 0.0000
0.1552 0.1791 0.4414
0.1552 0.3209 0.9414
0.2571 0.7222 0.4229
0.2571 0.7778 0.9229
0.4056 0.0552 0.2713
0.4056 0.4448 0.7713
0.5944 0.5552 0.2287
0.5944 0.9448 0.7287
0.7429 0.2222 0.0771
0.7429 0.2778 0.5771
0.8448 0.6791 0.0586
0.8448 0.8209 0.5586
```

Peak list (12 most intense, 2θ = 5–70°, by intensity)
2θ (°)  I (rel.)
13.11  100
15.39  87
26.39  85
34.77  67
31.08  62
38.95  50
26.01  47
25.17  47
13.82  46
46.76  46
39.58  46
24.93  42


Please write out number 2 again, unchanged.
Starting from a GGA-PBE-relaxed structure, the powder XRD pattern of CsNa2TeBr was calculated for λ = 1.5418 Å (Cu Kα).

Atomic structure:
```
CsNa2TeBr
1.0
-2.5229 2.5229 7.9551
2.5229 -2.5229 7.9551
2.5229 2.5229 -7.9551
Cs Na Te Br
1 2 1 1
direct
0.0000 0.0000 0.0000
0.2235 0.7235 0.5000
0.7235 0.2235 0.5000
0.6158 0.6158 0.0000
0.3237 0.3237 0.0000
```

Peak list (12 most intense, 2θ = 5–70°, by intensity)
2θ (°)  I (rel.)
24.35  100
43.61  51
24.96  41
35.58  29
42.47  19
57.52  18
27.40  17
33.29  15
33.76  13
69.47  13
11.12  12
51.21  10